Computed X-ray powder pattern of Sr3CaTl for copper Kα, from DFT lattice parameters and positions (GGA-PBE).
Lines closer than 0.1° are merged.

abc: 9.470 9.470 9.470
angles: 51.51 51.51 51.51
Atoms (fractional coordinates):
Sr 0.101 0.101 0.594
Sr 0.101 0.594 0.101
Sr 0.406 0.899 0.899
Sr 0.594 0.101 0.101
Sr 0.899 0.406 0.899
Sr 0.899 0.899 0.406
Ca 0.418 0.418 0.418
Ca 0.582 0.582 0.582
Tl 0.166 0.166 0.166
Tl 0.834 0.834 0.834

Main lines, in order of rising 2θ (10° ≤ 2θ ≤ 80°):
- d 8.192, 10.8°, I 29
- d 6.845, 12.9°, I 70
- d 6.165, 14.4°, I 38
- d 4.115, 21.6°, I 31
- d 3.677, 24.2°, I 100
- d 3.083, 29.0°, I 71
- d 2.903, 30.8°, I 57
- d 2.885, 31.0°, I 83
- d 2.731, 32.8°, I 24
- d 2.282, 39.5°, I 28
- d 2.057, 44.0°, I 73
- d 1.643, 56.0°, I 32